Cs2Ce3TlF12: computed X-ray powder pattern (Cu Ka), based on the GGA-PBE geometry in Alexandria.
Lines closer than 0.1° are merged.

Principal peaks in the range 10 to 90 degrees two-theta, in order of rising 2θ:
2θ = 12.34°, rel. 32
2θ = 23.50°, rel. 39
2θ = 24.23°, rel. 100
2θ = 24.82°, rel. 54
2θ = 25.64°, rel. 33
2θ = 27.51°, rel. 21
2θ = 37.61°, rel. 36
2θ = 40.48°, rel. 49
2θ = 44.01°, rel. 29
2θ = 49.64°, rel. 21

Structural model:
Cell: 8.2781 8.2781 8.2781 Å, 65.14 65.14 65.14°
Sites, in units of the cell vectors:
1 Cs 0.1269 0.1269 0.1269
2 Cs 0.8731 0.8731 0.8731
3 Ce 0.0000 0.5000 0.5000
4 Ce 0.5000 0.0000 0.5000
5 Ce 0.5000 0.5000 0.0000
6 Tl 0.5000 0.5000 0.5000
7 F 0.0810 0.6307 0.6307
8 F 0.2197 0.2197 0.5979
9 F 0.2197 0.5979 0.2197
10 F 0.3693 0.3693 0.9190
11 F 0.3693 0.9190 0.3693
12 F 0.4021 0.7803 0.7803
13 F 0.5979 0.2197 0.2197
14 F 0.6307 0.0810 0.6307
15 F 0.6307 0.6307 0.0810
16 F 0.7803 0.4021 0.7803
17 F 0.7803 0.7803 0.4021
18 F 0.9190 0.3693 0.3693


Ba4Mg3Al: computed X-ray powder pattern (Cu Ka), based on the GGA-PBE geometry in Alexandria.
Lines closer than 0.1° are merged.

Principal peaks in the range 10 to 90 degrees two-theta, in order of rising 2θ:
2θ = 20.08°, rel. 27
2θ = 20.91°, rel. 52
2θ = 29.15°, rel. 100
2θ = 29.74°, rel. 50
2θ = 36.15°, rel. 25
2θ = 42.56°, rel. 18
2θ = 47.48°, rel. 11
2θ = 47.88°, rel. 12
2θ = 51.30°, rel. 18
2θ = 52.41°, rel. 38

Structural model:
Cell: 4.2485 4.2485 17.6886 Å, 90.00 90.00 90.00°
Sites, in units of the cell vectors:
1 Ba 0.0000 0.0000 0.1129
2 Ba 0.0000 0.0000 0.3703
3 Ba 0.0000 0.0000 0.6297
4 Ba 0.0000 0.0000 0.8871
5 Mg 0.5000 0.5000 0.2431
6 Mg 0.5000 0.5000 0.5000
7 Mg 0.5000 0.5000 0.7569
8 Al 0.5000 0.5000 0.0000


La4Te2SeS: computed X-ray powder pattern (Cu Ka), based on the GGA-PBE geometry in Alexandria.
Lines closer than 0.1° are merged.

Principal peaks in the range 10 to 90 degrees two-theta, in order of rising 2θ:
2θ = 28.61°, rel. 100
2θ = 31.21°, rel. 7
2θ = 40.49°, rel. 11
2θ = 40.64°, rel. 22
2θ = 41.16°, rel. 26
2θ = 41.32°, rel. 13
2θ = 51.02°, rel. 13
2θ = 59.23°, rel. 11
2θ = 66.69°, rel. 8
2θ = 67.44°, rel. 11

Structural model:
Cell: 7.6069 4.3701 7.7339 Å, 90.00 108.97 90.00°
Sites, in units of the cell vectors:
1 La 0.2298 0.0000 0.2140
2 La 0.2517 0.5000 0.7817
3 La 0.7483 0.5000 0.2183
4 La 0.7702 0.0000 0.7860
5 Te 0.0000 0.0000 0.5000
6 Te 0.5000 0.5000 0.5000
7 Se 0.5000 0.0000 0.0000
8 S 0.0000 0.5000 0.0000


Er2Ge6Pd21: computed X-ray powder pattern (Cu Ka), based on the GGA-PBE geometry in Alexandria.
Lines closer than 0.1° are merged.

Principal peaks in the range 10 to 90 degrees two-theta, in order of rising 2θ:
2θ = 32.23°, rel. 20
2θ = 35.40°, rel. 26
2θ = 37.62°, rel. 100
2θ = 41.10°, rel. 53
2θ = 43.08°, rel. 33
2θ = 43.72°, rel. 13
2θ = 48.62°, rel. 29
2θ = 63.55°, rel. 26
2θ = 65.02°, rel. 14
2θ = 74.90°, rel. 30

Structural model:
Cell: 8.7840 8.7840 8.7840 Å, 60.00 60.00 60.00°
Sites, in units of the cell vectors:
1 Er 0.2500 0.2500 0.2500
2 Er 0.7500 0.7500 0.7500
3 Ge 0.2329 0.2329 0.7671
4 Ge 0.2329 0.7671 0.2329
5 Ge 0.2329 0.7671 0.7671
6 Ge 0.7671 0.2329 0.2329
7 Ge 0.7671 0.2329 0.7671
8 Ge 0.7671 0.7671 0.2329
9 Pd 0.1193 0.1193 0.1193
10 Pd 0.1193 0.1193 0.6422
11 Pd 0.1193 0.6422 0.1193
12 Pd 0.1539 0.5000 0.5000
13 Pd 0.1539 0.5000 0.8461
14 Pd 0.1539 0.8461 0.5000
15 Pd 0.3578 0.8807 0.8807
16 Pd 0.5000 0.1539 0.5000
17 Pd 0.5000 0.1539 0.8461
18 Pd 0.5000 0.5000 0.1539
19 Pd 0.5000 0.5000 0.5000
20 Pd 0.5000 0.5000 0.8461
21 Pd 0.5000 0.8461 0.1539
22 Pd 0.5000 0.8461 0.5000
23 Pd 0.6422 0.1193 0.1193
24 Pd 0.8461 0.1539 0.5000
25 Pd 0.8461 0.5000 0.1539
26 Pd 0.8461 0.5000 0.5000
27 Pd 0.8807 0.3578 0.8807
28 Pd 0.8807 0.8807 0.3578
29 Pd 0.8807 0.8807 0.8807


Li5Cu3F14: computed X-ray powder pattern (Cu Ka), based on the GGA-PBE geometry in Alexandria.
Lines closer than 0.1° are merged.

Principal peaks in the range 10 to 90 degrees two-theta, in order of rising 2θ:
2θ = 15.63°, rel. 68
2θ = 18.31°, rel. 100
2θ = 25.49°, rel. 83
2θ = 25.75°, rel. 28
2θ = 30.04°, rel. 54
2θ = 31.56°, rel. 63
2θ = 41.00°, rel. 29
2θ = 52.35°, rel. 28
2θ = 52.92°, rel. 49
2θ = 62.43°, rel. 33

Structural model:
Cell: 6.9901 6.9901 9.6906 Å, 90.00 90.00 90.00°
Sites, in units of the cell vectors:
1 Li 0.0000 0.0000 0.0000
2 Li 0.2295 0.2705 0.2500
3 Li 0.2295 0.2705 0.7500
4 Li 0.2705 0.7705 0.2500
5 Li 0.2705 0.7705 0.7500
6 Li 0.5000 0.5000 0.5000
7 Li 0.7295 0.2295 0.2500
8 Li 0.7295 0.2295 0.7500
9 Li 0.7705 0.7295 0.2500
10 Li 0.7705 0.7295 0.7500
11 Cu 0.0000 0.0000 0.5000
12 Cu 0.0000 0.5000 0.0000
13 Cu 0.0000 0.5000 0.5000
14 Cu 0.5000 0.0000 0.0000
15 Cu 0.5000 0.0000 0.5000
16 Cu 0.5000 0.5000 0.0000
17 F 0.0000 0.0000 0.3077
18 F 0.0000 0.0000 0.6923
19 F 0.0359 0.6994 0.1369
20 F 0.0359 0.6994 0.8631
21 F 0.1090 0.2478 0.5000
22 F 0.1994 0.5359 0.3631
23 F 0.1994 0.5359 0.6369
24 F 0.2478 0.8910 0.5000
25 F 0.2522 0.3910 0.0000
26 F 0.3006 0.0359 0.1369
27 F 0.3006 0.0359 0.8631
28 F 0.3910 0.7478 0.0000
29 F 0.4641 0.1994 0.3631
30 F 0.4641 0.1994 0.6369
31 F 0.5000 0.5000 0.1923
32 F 0.5000 0.5000 0.8077
33 F 0.5359 0.8006 0.3631
34 F 0.5359 0.8006 0.6369
35 F 0.6090 0.2522 0.0000
36 F 0.6994 0.9641 0.1369
37 F 0.6994 0.9641 0.8631
38 F 0.7478 0.6090 0.0000
39 F 0.7522 0.1090 0.5000
40 F 0.8006 0.4641 0.3631
41 F 0.8006 0.4641 0.6369
42 F 0.8910 0.7522 0.5000
43 F 0.9641 0.3006 0.1369
44 F 0.9641 0.3006 0.8631


Ce4PaO10: computed X-ray powder pattern (Cu Ka), based on the GGA-PBE geometry in Alexandria.
Lines closer than 0.1° are merged.

Principal peaks in the range 10 to 90 degrees two-theta, in order of rising 2θ:
2θ = 19.19°, rel. 3
2θ = 28.25°, rel. 100
2θ = 32.73°, rel. 31
2θ = 46.97°, rel. 53
2θ = 55.71°, rel. 45
2θ = 58.42°, rel. 9
2θ = 68.60°, rel. 8
2θ = 75.77°, rel. 18
2θ = 78.11°, rel. 12
2θ = 87.29°, rel. 17

Structural model:
Cell: 6.7012 6.7012 6.7012 Å, 99.60 99.60 131.79°
Sites, in units of the cell vectors:
1 Ce 0.0992 0.6989 0.7982
2 Ce 0.3011 0.0992 0.4003
3 Ce 0.6989 0.9008 0.5997
4 Ce 0.9008 0.3011 0.2018
5 Pa 0.5000 0.5000 0.0000
6 O 0.0622 0.3551 0.9044
7 O 0.1579 0.0622 0.7072
8 O 0.2500 0.7500 0.5000
9 O 0.3551 0.4507 0.2928
10 O 0.4507 0.1579 0.0956
11 O 0.5493 0.8421 0.9044
12 O 0.6449 0.5493 0.7072
13 O 0.7500 0.2500 0.5000
14 O 0.8421 0.9378 0.2928
15 O 0.9378 0.6449 0.0956


Y3TaRu4: computed X-ray powder pattern (Cu Ka), based on the GGA-PBE geometry in Alexandria.
Lines closer than 0.1° are merged.

Principal peaks in the range 10 to 90 degrees two-theta, in order of rising 2θ:
2θ = 12.94°, rel. 7
2θ = 19.46°, rel. 4
2θ = 37.81°, rel. 100
2θ = 38.44°, rel. 50
2θ = 53.59°, rel. 8
2θ = 55.50°, rel. 17
2θ = 67.86°, rel. 15
2θ = 69.12°, rel. 33
2θ = 80.79°, rel. 9
2θ = 82.36°, rel. 5

Structural model:
Cell: 3.3116 3.3116 13.6820 Å, 90.00 90.00 90.00°
Sites, in units of the cell vectors:
1 Y 0.0000 0.0000 0.0000
2 Y 0.0000 0.0000 0.2516
3 Y 0.0000 0.0000 0.7484
4 Ta 0.0000 0.0000 0.5000
5 Ru 0.5000 0.5000 0.1288
6 Ru 0.5000 0.5000 0.3928
7 Ru 0.5000 0.5000 0.6072
8 Ru 0.5000 0.5000 0.8712


Mn2BeH: computed X-ray powder pattern (Cu Ka), based on the GGA-PBE geometry in Alexandria.
Lines closer than 0.1° are merged.

Principal peaks in the range 10 to 90 degrees two-theta, in order of rising 2θ:
2θ = 34.24°, rel. 100
2θ = 49.20°, rel. 86
2θ = 61.31°, rel. 22
2θ = 72.14°, rel. 12
2θ = 82.33°, rel. 26

Structural model:
Cell: 3.7035 3.7035 3.7035 Å, 60.00 60.00 60.00°
Sites, in units of the cell vectors:
1 Mn 0.2500 0.2500 0.2500
2 Mn 0.7500 0.7500 0.7500
3 Be 0.0000 0.0000 0.0000
4 H 0.5000 0.5000 0.5000


PrScTa: computed X-ray powder pattern (Cu Ka), based on the GGA-PBE geometry in Alexandria.
Lines closer than 0.1° are merged.

Principal peaks in the range 10 to 90 degrees two-theta, in order of rising 2θ:
2θ = 10.77°, rel. 42
2θ = 32.45°, rel. 23
2θ = 32.75°, rel. 52
2θ = 34.61°, rel. 14
2θ = 36.04°, rel. 100
2θ = 38.94°, rel. 18
2θ = 55.49°, rel. 13
2θ = 60.66°, rel. 13
2θ = 65.92°, rel. 13
2θ = 66.83°, rel. 13

Structural model:
Cell: 16.4306 3.1807 3.1807 Å, 61.64 90.00 90.00°
Sites, in units of the cell vectors:
1 Pr 0.1869 0.0000 0.0000
2 Pr 0.8131 0.0000 0.0000
3 Sc 0.0000 0.6821 0.6821
4 Sc 0.5000 0.8814 0.8814
5 Ta 0.3522 0.5322 0.5322
6 Ta 0.6478 0.5322 0.5322